Starting from a PBE+U-relaxed structure, the powder XRD pattern of Li2MnP2O7 was calculated for Cu Kα (λ = 1.5418 Å).

Principal peaks in the range 2θ from 10° to 80°, by angle:
- 2θ 13.6, d = 6.490 Å, I = 33
- 2θ 21.8, d = 4.084 Å, I = 100
- 2θ 23.6, d = 3.769 Å, I = 70
- 2θ 29.9, d = 2.986 Å, I = 44
- 2θ 32.6, d = 2.749 Å, I = 19
- 2θ 34.8, d = 2.577 Å, I = 37
- 2θ 37.1, d = 2.426 Å, I = 31
- 2θ 58.8, d = 1.571 Å, I = 13

Cell and atoms:
```
data_Li2MnP2O7
_space_group_name_H-M_alt 'P 1 21/c 1'
_space_group_IT_number 14
_cell_length_a 8.519
_cell_length_b 5.154
_cell_length_c 14.664
_cell_angle_alpha 90.00
_cell_angle_beta 117.74
_cell_angle_gamma 90.00
loop_
_space_group_symop_operation_xyz
'x,y,z'
'-x,-y,-z'
'-x,y+1/2,-z+1/2'
'x,-y+1/2,z+1/2'
loop_
_atom_site_label
_atom_site_type_symbol
_atom_site_fract_x
_atom_site_fract_y
_atom_site_fract_z
_atom_site_occupancy
Li1 Li 0.009 0.185 0.073 1
Li2 Li 0.422 0.170 0.291 1
Mn1 Mn 0.273 0.184 0.500 1
P1 P 0.189 0.697 0.155 1
P2 P 0.299 0.687 0.375 1
O1 O 0.011 0.698 0.568 1
O2 O 0.154 0.720 0.254 1
O3 O 0.206 0.693 0.933 1
O4 O 0.216 0.092 0.638 1
O5 O 0.332 0.104 0.894 1
O6 O 0.348 0.635 0.673 1
O7 O 0.461 0.652 0.890 1
```